Structure and simulated X-ray powder pattern of Sr2CoClO3 (the GGA+U geometry in Alexandria; Cu Ka).
No peak broadening, texture or thermal motion is included.

Cell and atoms:
Cell lengths 3.8875, 3.8875, 14.9650 Å; angles 90.00, 90.00, 90.00 degrees
Element x y z (fractional)
Sr 0.2500 0.2500 0.0922
Sr 0.2500 0.2500 0.3363
Sr 0.7500 0.7500 0.6637
Sr 0.7500 0.7500 0.9078
Co 0.2500 0.2500 0.7948
Co 0.7500 0.7500 0.2052
Cl 0.2500 0.2500 0.5816
Cl 0.7500 0.7500 0.4184
O 0.2500 0.2500 0.9273
O 0.2500 0.7500 0.2250
O 0.2500 0.7500 0.7750
O 0.7500 0.2500 0.2250
O 0.7500 0.2500 0.7750
O 0.7500 0.7500 0.0727

Peak list (10 most intense, 2θ = 5–70°, by angle)
two_theta  I_rel  h k l
5.91  34  0 0 1
11.83  27  0 0 2
29.12  21  1 0 3
32.57  80  1 1 0
33.24  100  1 0 4
37.94  16  1 0 5
40.73  21  1 1 4
46.73  43  2 0 0
54.40  19  1 0 8
58.55  38  2 1 4